Starting from a PBE-relaxed structure, the XRD peak list of K3Tb3HfTe8 was computed for Cu Kα, 1.54184 Å.

Atomic structure:
```
data_K3Tb3HfTe8
_chemical_formula_sum 'K9 Tb9 Hf3 Te24'
_symmetry_space_group_name_H-M 'R -3 m'
_symmetry_Int_Tables_number 166
_symmetry_space_group_name_Hall '-R 3 2"'
_cell_length_a 8.7949
_cell_length_b 8.7949
_cell_length_c 25.3405
_cell_angle_alpha 90.00
_cell_angle_beta 90.00
_cell_angle_gamma 120.00
loop_
_atom_site_label
_atom_site_type_symbol
_atom_site_fract_x
_atom_site_fract_y
_atom_site_fract_z
K1 K 0.0000 0.5000 0.0000
Tb1 Tb 0.0000 0.5000 0.5000
Hf1 Hf 0.0000 0.0000 0.5000
Te1 Te 0.0000 0.0000 0.2366
Te2 Te 0.0164 0.5082 0.2335
```

Main lines, low angle first (10° ≤ 2θ ≤ 90°):
- (0 0 3), 8.447 Å, 10.47 deg, I 68
- (0 2 4), 3.264 Å, 27.32 deg, I 100
- (0 2 7), 2.624 Å, 34.17 deg, I 26
- (2 0 8), 2.435 Å, 36.91 deg, I 35
- (2 2 0), 2.199 Å, 41.05 deg, I 36
- (2 2 3), 2.128 Å, 42.48 deg, I 14
- (2 0 11), 1.971 Å, 46.05 deg, I 17
- (4 0 4), 1.824 Å, 50.02 deg, I 18
- (2 4 4), 1.404 Å, 66.63 deg, I 15
- (2 2 15), 1.340 Å, 70.27 deg, I 11

=====

Starting from a PBE-relaxed structure, the XRD peak list of K5Hf2Te6 was computed for Cu Kα, 1.54184 Å.

Atomic structure:
```
data_K5Hf2Te6
_chemical_formula_sum 'K20 Hf8 Te24'
_symmetry_space_group_name_H-M 'C 1 2/c 1'
_symmetry_Int_Tables_number 15
_symmetry_space_group_name_Hall '-C 2yc'
_cell_length_a 14.247
_cell_length_b 8.925
_cell_length_c 18.520
_cell_angle_alpha 90.00
_cell_angle_beta 102.59
_cell_angle_gamma 90.00
loop_
_atom_site_label
_atom_site_type_symbol
_atom_site_fract_x
_atom_site_fract_y
_atom_site_fract_z
K1 K 0.000 0.155 0.250
K2 K 0.051 0.238 0.000
K3 K 0.162 0.379 0.734
Hf1 Hf 0.228 0.365 0.431
Te1 Te 0.049 0.471 0.372
Te2 Te 0.136 0.033 0.641
Te3 Te 0.217 0.050 0.420
```

Main lines, low angle first (10° ≤ 2θ ≤ 90°):
- (1 1 -1), 7.245 Å, 12.22 deg, I 100
- (2 0 0), 6.952 Å, 12.73 deg, I 39
- (1 1 1), 6.663 Å, 13.29 deg, I 55
- (2 0 -2), 6.202 Å, 14.28 deg, I 30
- (0 2 0), 4.462 Å, 19.90 deg, I 40
- (3 1 -3), 3.752 Å, 23.71 deg, I 29
- (0 2 3), 3.586 Å, 24.83 deg, I 29
- (0 2 4), 3.175 Å, 28.10 deg, I 45
- (3 3 0), 2.504 Å, 35.86 deg, I 31
- (6 0 -2), 2.373 Å, 37.92 deg, I 41

=====

Starting from a PBE-relaxed structure, the XRD peak list of KHf2Te4 was computed for Cu Kα, 1.54184 Å.

Atomic structure:
```
data_KHf2Te4
_chemical_formula_sum 'K4 Hf8 Te16'
_symmetry_space_group_name_H-M 'C m c m'
_symmetry_Int_Tables_number 63
_symmetry_space_group_name_Hall '-C 2c 2'
_cell_length_a 4.230
_cell_length_b 13.939
_cell_length_c 14.761
_cell_angle_alpha 90.00
_cell_angle_beta 90.00
_cell_angle_gamma 90.00
loop_
_atom_site_label
_atom_site_type_symbol
_atom_site_fract_x
_atom_site_fract_y
_atom_site_fract_z
K1 K 0.000 0.111 0.250
Hf1 Hf 0.000 0.371 0.065
Te1 Te 0.000 0.000 0.000
Te2 Te 0.000 0.268 0.608
Te3 Te 0.000 0.421 0.250
```

Main lines, low angle first (10° ≤ 2θ ≤ 90°):
- (0 0 2), 7.380 Å, 11.99 deg, I 62
- (0 2 1), 6.302 Å, 14.05 deg, I 39
- (0 2 4), 3.261 Å, 27.35 deg, I 53
- (1 3 0), 3.128 Å, 28.54 deg, I 55
- (1 3 1), 3.060 Å, 29.18 deg, I 80
- (1 3 2), 2.880 Å, 31.05 deg, I 55
- (0 2 5), 2.718 Å, 32.95 deg, I 28
- (1 1 5), 2.385 Å, 37.71 deg, I 36
- (2 0 0), 2.115 Å, 42.75 deg, I 35
- (0 6 3), 2.103 Å, 43.01 deg, I 100